Entry 1:
Computed PXRD pattern
Compound: Tm2MnNi9
Radiation: a wavelength of 1.5418 Å
Structure: a structure optimized by DFT (PBE)
Intensities are scaled so that the largest is 100.

Structure:
```
data_Tm2MnNi9
_space_group_name_H-M_alt 'R -3 m'
_space_group_IT_number 166
_space_group_name_Hall '-R 3 2"'
_cell_length_a 4.8658
_cell_length_b 4.8658
_cell_length_c 23.9744
_cell_angle_alpha 90.00
_cell_angle_beta 90.00
_cell_angle_gamma 120.00
loop_
_atom_site_label
_atom_site_fract_x
_atom_site_fract_y
_atom_site_fract_z
_atom_site_occupancy
Tm1 0.0000 0.0000 0.1357 1
Mn1 0.0000 0.0000 0.0000 1
Ni1 0.0000 0.0000 0.3333 1
Ni2 0.0000 0.0000 0.5000 1
Ni3 0.0016 0.5008 0.9185 1
```

Main lines, by angle (2θ = 10–80°):
two_theta, d (Å), intensity, h k l
11.1, 7.991, 32, 0 0 3
33.7, 2.658, 50, 1 0 7
36.8, 2.442, 50, 0 1 8
36.9, 2.433, 59, 1 1 0
43.1, 2.099, 43, 0 2 1
43.6, 2.078, 100, 1 1 6
46.9, 1.936, 37, 0 1 11
47.1, 1.929, 41, 2 0 5

Entry 2:
Computed PXRD pattern
Compound: Tm3Mn2Ni7
Radiation: a wavelength of 1.5418 Å
Structure: a structure optimized by DFT (PBE)
Intensities are scaled so that the largest is 100.

Structure:
```
data_Tm3Mn2Ni7
_space_group_name_H-M_alt 'R -3 m'
_space_group_IT_number 166
_space_group_name_Hall '-R 3 2"'
_cell_length_a 5.0329
_cell_length_b 5.0329
_cell_length_c 24.1187
_cell_angle_alpha 90.00
_cell_angle_beta 90.00
_cell_angle_gamma 120.00
loop_
_atom_site_label
_atom_site_fract_x
_atom_site_fract_y
_atom_site_fract_z
_atom_site_occupancy
Tm1 0.0000 0.0000 0.0000 1
Tm2 0.0000 0.0000 0.1393 1
Mn1 0.0000 0.0000 0.3330 1
Ni1 0.0000 0.0000 0.5000 1
Ni2 0.0000 0.5000 0.0828 1
```

Main lines, by angle (2θ = 10–80°):
two_theta, d (Å), intensity, h k l
33.1, 2.703, 58, 1 0 7
35.7, 2.516, 59, 1 1 0
36.2, 2.479, 46, 0 1 8
41.6, 2.170, 46, 0 2 1
42.4, 2.133, 100, 1 1 6
62.5, 1.486, 19, 2 1 7
68.7, 1.366, 23, 3 0 6
75.6, 1.258, 23, 2 2 0

Entry 3:
Computed PXRD pattern
Compound: Mn3V4Ni
Radiation: a wavelength of 1.5418 Å
Structure: a structure optimized by DFT (PBE)
Intensities are scaled so that the largest is 100.

Structure:
```
data_Mn3V4Ni
_space_group_name_H-M_alt 'P m m m'
_space_group_IT_number 47
_space_group_name_Hall '-P 2 2'
_cell_length_a 2.9086
_cell_length_b 4.0674
_cell_length_c 8.0928
_cell_angle_alpha 90.00
_cell_angle_beta 90.00
_cell_angle_gamma 90.00
loop_
_atom_site_label
_atom_site_fract_x
_atom_site_fract_y
_atom_site_fract_z
_atom_site_occupancy
Mn1 0.0000 0.0000 0.0000 1
Mn2 0.0000 0.5000 0.2532 1
V1 0.5000 0.0000 0.2450 1
V2 0.5000 0.5000 0.0000 1
V3 0.5000 0.5000 0.5000 1
Ni1 0.0000 0.0000 0.5000 1
```

Main lines, by angle (2θ = 10–80°):
two_theta, d (Å), intensity, h k l
31.2, 2.869, 1, 0 1 2
44.4, 2.042, 100, 1 1 2
44.6, 2.034, 25, 0 2 0
44.8, 2.023, 24, 0 0 4
64.0, 1.454, 8, 2 0 0
65.0, 1.434, 14, 0 2 4